1.
# Pm3Y5In2
Theoretical powder diffractogram, Cu Ka. Input: a cell relaxed with GGA-PBE.
No peak broadening, texture or thermal motion is included.

Atomic structure:
a b c (Å): 10.676 10.676 10.676
angles (deg): 105.50 85.12 144.85
Positions (direct):
Pm  0.233  0.117  0.349
Pm  0.250  0.250  0.000
Pm  0.267  0.617  0.884
Pm  0.733  0.383  0.116
Pm  0.750  0.750  0.000
Pm  0.767  0.883  0.651
Y  0.165  0.380  0.545
Y  0.250  0.502  0.252
Y  0.250  0.750  0.500
Y  0.250  0.998  0.748
Y  0.335  0.880  0.214
Y  0.665  0.120  0.786
Y  0.750  0.002  0.252
Y  0.750  0.250  0.500
Y  0.750  0.498  0.748
Y  0.835  0.620  0.455
In  0.146  0.864  0.010
In  0.354  0.364  0.717
In  0.646  0.636  0.283
In  0.854  0.136  0.990

Principal peaks in the range 2θ = 15–90°, in order of falling intensity:
d_spacing	intensity
2.985	100
2.282	40
2.590	38
3.442	27
1.712	21
2.494	17

***

2.
# CsB6Cl6
Theoretical powder diffractogram, Cu Ka. Input: a cell relaxed with GGA-PBE.
No peak broadening, texture or thermal motion is included.

Atomic structure:
a b c (Å): 16.751 16.751 16.751
angles (deg): 33.78 33.78 33.78
Positions (direct):
Cs  0.127  0.127  0.127
Cs  0.292  0.292  0.292
Cs  0.708  0.708  0.708
Cs  0.873  0.873  0.873
B  0.000  0.146  0.940
B  0.000  0.854  0.060
B  0.053  0.817  0.151
B  0.060  0.000  0.854
B  0.146  0.940  0.000
B  0.151  0.053  0.817
B  0.183  0.849  0.947
B  0.307  0.529  0.644
B  0.356  0.693  0.471
B  0.378  0.588  0.449
B  0.412  0.551  0.622
B  0.449  0.378  0.588
B  0.471  0.356  0.693
B  0.529  0.644  0.307
B  0.551  0.622  0.412
B  0.588  0.449  0.378
B  0.622  0.412  0.551
B  0.644  0.307  0.529
B  0.693  0.471  0.356
B  0.817  0.151  0.053
B  0.849  0.947  0.183
B  0.854  0.060  0.000
B  0.940  0.000  0.146
B  0.947  0.183  0.849
Cl  0.000  0.301  0.876
Cl  0.000  0.699  0.124
Cl  0.102  0.560  0.795
Cl  0.107  0.625  0.311
Cl  0.124  0.000  0.699
Cl  0.205  0.898  0.440
Cl  0.249  0.680  0.395
Cl  0.301  0.876  0.000
Cl  0.311  0.107  0.625
Cl  0.320  0.605  0.751
Cl  0.375  0.689  0.893
Cl  0.395  0.249  0.680
Cl  0.440  0.205  0.898
Cl  0.560  0.795  0.102
Cl  0.605  0.751  0.320
Cl  0.625  0.311  0.107
Cl  0.680  0.395  0.249
Cl  0.689  0.893  0.375
Cl  0.699  0.124  0.000
Cl  0.751  0.320  0.605
Cl  0.795  0.102  0.560
Cl  0.876  0.000  0.301
Cl  0.893  0.375  0.689
Cl  0.898  0.440  0.205

Principal peaks in the range 2θ = 15–90°, in order of falling intensity:
d_spacing	intensity
3.065	100
3.018	75
2.883	51
5.275	51
2.808	42
2.644	36

***

3.
# Ho5Ni2Ag2
Theoretical powder diffractogram, Cu Ka. Input: a cell relaxed with GGA-PBE.
No peak broadening, texture or thermal motion is included.

Atomic structure:
a b c (Å): 8.537 8.537 7.565
angles (deg): 90.00 90.00 49.53
Positions (direct):
Ho  0.000  0.000  0.000
Ho  0.048  0.701  0.680
Ho  0.201  0.548  0.180
Ho  0.299  0.952  0.680
Ho  0.452  0.799  0.180
Ho  0.500  0.500  0.500
Ho  0.548  0.201  0.820
Ho  0.701  0.048  0.320
Ho  0.799  0.452  0.820
Ho  0.952  0.299  0.320
Ni  0.117  0.883  0.379
Ni  0.383  0.617  0.879
Ni  0.617  0.383  0.121
Ni  0.883  0.117  0.621
Ag  0.215  0.215  0.000
Ag  0.285  0.285  0.500
Ag  0.715  0.715  0.500
Ag  0.785  0.785  0.000

Principal peaks in the range 2θ = 15–90°, in order of falling intensity:
d_spacing	intensity
2.707	100
2.483	98
2.628	82
2.807	68
2.599	66
2.351	59

***

4.
# Pm2Zn6Au3
Theoretical powder diffractogram, Cu Ka. Input: a cell relaxed with GGA-PBE.
No peak broadening, texture or thermal motion is included.

Atomic structure:
a b c (Å): 7.804 7.804 4.160
angles (deg): 90.00 90.00 120.00
Positions (direct):
Pm  0.333  0.667  0.000
Pm  0.667  0.333  0.000
Zn  0.000  0.189  0.000
Zn  0.000  0.730  0.500
Zn  0.189  0.000  0.000
Zn  0.270  0.270  0.500
Zn  0.730  0.000  0.500
Zn  0.811  0.811  0.000
Au  0.000  0.397  0.500
Au  0.397  0.000  0.500
Au  0.603  0.603  0.500

Principal peaks in the range 2θ = 15–90°, in order of falling intensity:
d_spacing	intensity
2.846	100
2.177	62
2.623	31
3.902	31
1.874	29
2.253	28